Structure and calculated powder X-ray diffraction pattern of Hf2V3Ru (a crystal structure in the Materials Project, relaxed with PBE; a wavelength of 1.5418 Å).
Intensities are scaled so that the largest is 100.

Main lines, low angle first (2θ from 15° to 90°):
- 2θ = 21.53°, intensity 21.4
- 2θ = 34.19°, intensity 80.0
- 2θ = 38.24°, intensity 74.9
- 2θ = 40.76°, intensity 100.0
- 2θ = 41.22°, intensity 33.9
- 2θ = 61.21°, intensity 15.2
- 2θ = 63.91°, intensity 31.5
- 2θ = 65.68°, intensity 24.1
- 2θ = 70.51°, intensity 19.9
- 2θ = 72.02°, intensity 19.6

Atomic structure:
```
data_Hf2V3Ru
_cell_length_a 5.2452
_cell_length_b 5.2452
_cell_length_c 8.2562
_cell_angle_alpha 90.00
_cell_angle_beta 90.00
_cell_angle_gamma 120.00
_symmetry_space_group_name_H-M 'P 63/m m c'
_symmetry_Int_Tables_number 194
_symmetry_space_group_name_Hall '-P 6c 2c'
loop_
_atom_site_label
_atom_site_type_symbol
_atom_site_fract_x
_atom_site_fract_y
_atom_site_fract_z
Hf1 Hf 0.3333 0.6667 0.0605
V1 V 0.1707 0.3414 0.7500
Ru1 Ru 0.0000 0.0000 0.0000
```

***

Structure and calculated powder X-ray diffraction pattern of Tb2MgS4 (a crystal structure in the Materials Project, relaxed with PBE; a wavelength of 1.5418 Å).
Intensities are scaled so that the largest is 100.

Main lines, low angle first (2θ from 15° to 90°):
- 2θ = 15.02°, intensity 58.5
- 2θ = 18.73°, intensity 95.6
- 2θ = 23.88°, intensity 52.9
- 2θ = 25.98°, intensity 51.2
- 2θ = 26.42°, intensity 49.7
- 2θ = 27.06°, intensity 63.9
- 2θ = 37.99°, intensity 100.0
- 2θ = 38.17°, intensity 42.3
- 2θ = 42.59°, intensity 27.5
- 2θ = 46.12°, intensity 37.6

Atomic structure:
```
data_Tb2MgS4
_cell_length_a 13.5928
_cell_length_b 7.9467
_cell_length_c 6.5494
_cell_angle_alpha 90.00
_cell_angle_beta 90.00
_cell_angle_gamma 90.00
_symmetry_space_group_name_H-M 'P n m a'
_symmetry_Int_Tables_number 62
loop_
_symmetry_equiv_pos_as_xyz
'x,y,z'
'-x,-y,-z'
'-x+1/2,-y,z+1/2'
'x+1/2,y,-z+1/2'
'x+1/2,-y+1/2,-z+1/2'
'-x+1/2,y+1/2,z+1/2'
'-x,y+1/2,-z'
'x,-y+1/2,z'
loop_
_atom_site_label
_atom_site_type_symbol
_atom_site_fract_x
_atom_site_fract_y
_atom_site_fract_z
Tb1 Tb 0.0000 0.0000 0.0000
Tb2 Tb 0.2321 0.2500 0.4989
Mg1 Mg 0.0934 0.7500 0.4224
S1 S 0.0700 0.2500 0.7469
S2 S 0.0916 0.7500 0.7892
S3 S 0.1687 0.5104 0.2421
```

***

Structure and calculated powder X-ray diffraction pattern of CsPb2Cl5 (a crystal structure in the Materials Project, relaxed with PBE; a wavelength of 1.5418 Å).
Intensities are scaled so that the largest is 100.

Main lines, low angle first (2θ from 15° to 90°):
- 2θ = 16.84°, intensity 41.1
- 2θ = 17.41°, intensity 100.0
- 2θ = 21.30°, intensity 41.6
- 2θ = 22.20°, intensity 31.7
- 2θ = 23.73°, intensity 37.2
- 2θ = 24.72°, intensity 33.7
- 2θ = 29.50°, intensity 43.3
- 2θ = 30.63°, intensity 38.3
- 2θ = 33.52°, intensity 36.0
- 2θ = 35.21°, intensity 27.3

Atomic structure:
```
data_CsPb2Cl5
_cell_length_a 5.7833
_cell_length_b 7.9811
_cell_length_c 8.9761
_cell_angle_alpha 105.60
_cell_angle_beta 98.53
_cell_angle_gamma 109.43
_symmetry_space_group_name_H-M 'P 1'
_symmetry_Int_Tables_number 1
loop_
_symmetry_equiv_pos_as_xyz
'x,y,z'
loop_
_atom_site_label
_atom_site_type_symbol
_atom_site_fract_x
_atom_site_fract_y
_atom_site_fract_z
Cs1 Cs 0.0000 0.0000 0.0000
Pb1 Pb 0.3197 0.7532 0.5579
Pb2 Pb 0.5086 0.3294 0.5803
Cl1 Cl 0.1373 0.3555 0.3614
Cl2 Cl 0.2922 0.9454 0.3391
Cl3 Cl 0.3407 0.5512 0.7933
Cl4 Cl 0.5200 0.1226 0.8082
Cl5 Cl 0.8315 0.7152 0.5901
```

***

Structure and calculated powder X-ray diffraction pattern of Li4P2O7 (a crystal structure in the Materials Project, relaxed with PBE; a wavelength of 1.5418 Å).
Intensities are scaled so that the largest is 100.

Main lines, low angle first (2θ from 15° to 90°):
- 2θ = 16.28°, intensity 100.0
- 2θ = 17.30°, intensity 63.9
- 2θ = 20.40°, intensity 40.9
- 2θ = 23.15°, intensity 71.2
- 2θ = 24.02°, intensity 32.7
- 2θ = 26.90°, intensity 38.0
- 2θ = 28.47°, intensity 25.3
- 2θ = 32.82°, intensity 26.1
- 2θ = 35.88°, intensity 24.8
- 2θ = 39.01°, intensity 38.0

Atomic structure:
```
data_Li4P2O7
_cell_length_a 5.5806
_cell_length_b 5.8222
_cell_length_c 9.9887
_cell_angle_alpha 103.36
_cell_angle_beta 97.74
_cell_angle_gamma 98.42
_symmetry_space_group_name_H-M 'P -1'
_symmetry_Int_Tables_number 2
loop_
_symmetry_equiv_pos_as_xyz
'x,y,z'
'-x,-y,-z'
loop_
_atom_site_label
_atom_site_type_symbol
_atom_site_fract_x
_atom_site_fract_y
_atom_site_fract_z
Li1 Li 0.0963 0.3142 0.4214
Li2 Li 0.1983 0.6879 0.0004
Li3 Li 0.2092 0.7613 0.3045
Li4 Li 0.2973 0.1027 0.8072
P1 P 0.3301 0.2885 0.1314
P2 P 0.4664 0.7797 0.5742
O1 O 0.0431 0.0234 0.2471
O2 O 0.1472 0.4646 0.1340
O3 O 0.1739 0.0217 0.1251
O4 O 0.1989 0.6689 0.4913
O5 O 0.4380 0.2404 0.9975
O6 O 0.4597 0.0412 0.6549
O7 O 0.4623 0.6362 0.7385
```

***

Structure and calculated powder X-ray diffraction pattern of Sr3Sc3N5 (a crystal structure in the Materials Project, relaxed with PBE; a wavelength of 1.5418 Å).
Intensities are scaled so that the largest is 100.

Main lines, low angle first (2θ from 15° to 90°):
- 2θ = 28.17°, intensity 66.3
- 2θ = 29.96°, intensity 92.8
- 2θ = 30.08°, intensity 59.2
- 2θ = 30.65°, intensity 100.0
- 2θ = 30.79°, intensity 45.0
- 2θ = 31.18°, intensity 97.8
- 2θ = 35.83°, intensity 37.3
- 2θ = 35.90°, intensity 24.9
- 2θ = 36.16°, intensity 28.3
- 2θ = 47.66°, intensity 29.4

Atomic structure:
```
data_Sr3Sc3N5
_cell_length_a 6.2297
_cell_length_b 7.8145
_cell_length_c 9.1549
_cell_angle_alpha 108.25
_cell_angle_beta 105.62
_cell_angle_gamma 98.36
_symmetry_space_group_name_H-M 'P -1'
_symmetry_Int_Tables_number 2
loop_
_symmetry_equiv_pos_as_xyz
'x,y,z'
'-x,-y,-z'
loop_
_atom_site_label
_atom_site_type_symbol
_atom_site_fract_x
_atom_site_fract_y
_atom_site_fract_z
Sr1 Sr 0.1757 0.3539 0.3912
Sr2 Sr 0.1771 0.1245 0.7025
Sr3 Sr 0.2783 0.9332 0.0979
Sc1 Sc 0.2177 0.4606 0.0740
Sc2 Sc 0.3615 0.6320 0.7911
Sc3 Sc 0.3955 0.8076 0.4654
N1 N 0.1026 0.5794 0.8926
N2 N 0.2323 0.7437 0.6180
N3 N 0.2693 0.0136 0.3885
N4 N 0.3258 0.2105 0.0140
N5 N 0.4913 0.5908 0.3033
```

***

Structure and calculated powder X-ray diffraction pattern of TiCl3 (a crystal structure in the Materials Project, relaxed with PBE; a wavelength of 1.5418 Å).
Intensities are scaled so that the largest is 100.

Main lines, low angle first (2θ from 15° to 90°):
- 2θ = 17.33°, intensity 19.3
- 2θ = 19.02°, intensity 13.2
- 2θ = 30.59°, intensity 21.3
- 2θ = 34.53°, intensity 100.0
- 2θ = 43.77°, intensity 20.9
- 2θ = 47.48°, intensity 32.6
- 2θ = 51.73°, intensity 27.0
- 2θ = 53.71°, intensity 11.8
- 2θ = 59.99°, intensity 11.3
- 2θ = 63.69°, intensity 12.4

Atomic structure:
```
data_TiCl3
_cell_length_a 6.1220
_cell_length_b 6.1220
_cell_length_c 19.6351
_cell_angle_alpha 90.00
_cell_angle_beta 90.00
_cell_angle_gamma 120.00
_symmetry_space_group_name_H-M 'P 31 1 2'
_symmetry_Int_Tables_number 151
loop_
_symmetry_equiv_pos_as_xyz
'x,y,z'
'-y,x-y,z+1/3'
'-x+y,-x,z+2/3'
'-y,-x,-z+2/3'
'-x+y,y,-z+1/3'
'x,x-y,-z'
loop_
_atom_site_label
_atom_site_type_symbol
_atom_site_fract_x
_atom_site_fract_y
_atom_site_fract_z
Ti1 Ti 0.1069 0.5534 0.0000
Ti2 Ti 0.1089 0.2178 0.6667
Cl1 Cl 0.0875 0.2216 0.9279
Cl2 Cl 0.1354 0.5556 0.7379
Cl3 Cl 0.4212 0.1984 0.7390
```

***

Structure and calculated powder X-ray diffraction pattern of BaC2O4 (a crystal structure in the Materials Project, relaxed with PBE; a wavelength of 1.5418 Å).
Intensities are scaled so that the largest is 100.

Main lines, low angle first (2θ from 15° to 90°):
- 2θ = 16.06°, intensity 100.0
- 2θ = 19.68°, intensity 64.5
- 2θ = 22.68°, intensity 30.2
- 2θ = 26.12°, intensity 60.4
- 2θ = 27.95°, intensity 96.1
- 2θ = 31.90°, intensity 62.5
- 2θ = 34.44°, intensity 37.5
- 2θ = 39.94°, intensity 30.6
- 2θ = 41.71°, intensity 32.9
- 2θ = 43.78°, intensity 33.3

Atomic structure:
```
data_BaC2O4
_cell_length_a 6.9808
_cell_length_b 7.8401
_cell_length_c 9.0126
_cell_angle_alpha 90.00
_cell_angle_beta 90.00
_cell_angle_gamma 90.00
_symmetry_space_group_name_H-M 'P 21 21 21'
_symmetry_Int_Tables_number 19
loop_
_symmetry_equiv_pos_as_xyz
'x,y,z'
'-x+1/2,-y,z+1/2'
'x+1/2,-y+1/2,-z'
'-x,y+1/2,-z+1/2'
loop_
_atom_site_label
_atom_site_type_symbol
_atom_site_fract_x
_atom_site_fract_y
_atom_site_fract_z
Ba1 Ba 0.0876 0.2076 0.3263
C1 C 0.0826 0.1324 0.7048
C2 C 0.2487 0.6355 0.4908
O1 O 0.0238 0.7319 0.8654
O2 O 0.1315 0.4214 0.0822
O3 O 0.1503 0.5649 0.3926
O4 O 0.2487 0.0800 0.6763
```

***

Structure and calculated powder X-ray diffraction pattern of NdAgSn (a crystal structure in the Materials Project, relaxed with PBE; a wavelength of 1.5418 Å).
Intensities are scaled so that the largest is 100.

Main lines, low angle first (2θ from 15° to 90°):
- 2θ = 23.93°, intensity 7.4
- 2θ = 31.22°, intensity 100.0
- 2θ = 36.77°, intensity 75.6
- 2θ = 40.79°, intensity 15.1
- 2θ = 48.98°, intensity 28.4
- 2θ = 60.85°, intensity 16.2
- 2θ = 62.78°, intensity 26.9
- 2θ = 66.22°, intensity 13.4
- 2θ = 78.21°, intensity 8.4
- 2θ = 86.59°, intensity 11.4

Atomic structure:
```
data_NdAgSn
_cell_length_a 4.8891
_cell_length_b 4.8891
_cell_length_c 7.7822
_cell_angle_alpha 90.00
_cell_angle_beta 90.00
_cell_angle_gamma 120.00
_symmetry_space_group_name_H-M 'P -3 m 1'
_symmetry_Int_Tables_number 164
_symmetry_space_group_name_Hall '-P 3 2"'
loop_
_atom_site_label
_atom_site_type_symbol
_atom_site_fract_x
_atom_site_fract_y
_atom_site_fract_z
Nd1 Nd 0.0000 0.0000 0.2322
Ag1 Ag 0.3333 0.6667 0.9815
Sn1 Sn 0.3333 0.6667 0.5522
```